[1]
The following is a simulated PXRD pattern of Cs3I. It was derived from a crystal structure in Alexandria, relaxed with PBE, using copper Kα.
Peak positions follow from Bragg's law for the DFT cell and can differ from measured ones.

Main lines, in order of falling intensity (2θ from 5° to 70°):
2theta, I (rel.)
23.1, 100
19.6, 72
26.8, 65
33.9, 44
30.6, 43
11.1, 42
19.2, 39
49.9, 26
39.2, 26
24.6, 23
40.9, 21
34.6, 19

Crystal structure
abc: 9.387 9.387 9.387
angles: 148.74 68.23 121.07
Fractional positions:
1 Cs 0.000 0.000 0.000
2 Cs 0.312 0.481 0.831
3 Cs 0.650 0.481 0.169
4 I 0.323 0.823 0.500

***

[2]
The following is a simulated PXRD pattern of Cs3In2I9. It was derived from a crystal structure in Alexandria, relaxed with PBE, using copper Kα.
Peak positions follow from Bragg's law for the DFT cell and can differ from measured ones.

Main lines, in order of falling intensity (2θ from 5° to 70°):
2theta, I (rel.)
29.7, 100
25.7, 80
50.3, 38
42.6, 37
42.4, 37
25.5, 28
52.8, 19
69.8, 15
50.1, 13
14.7, 13
61.6, 12
68.1, 10

Crystal structure
abc: 8.492 8.492 10.471
angles: 90.00 90.00 120.00
Fractional positions:
1 Cs 0.000 0.000 0.000
2 Cs 0.333 0.667 0.333
3 Cs 0.667 0.333 0.667
4 In 0.333 0.667 0.809
5 In 0.667 0.333 0.191
6 I 0.000 0.500 0.000
7 I 0.166 0.332 0.674
8 I 0.166 0.834 0.674
9 I 0.332 0.166 0.326
10 I 0.500 0.000 0.000
11 I 0.500 0.500 0.000
12 I 0.668 0.834 0.674
13 I 0.834 0.166 0.326
14 I 0.834 0.668 0.326

***

[3]
The following is a simulated PXRD pattern of Cs4InI6. It was derived from a crystal structure in Alexandria, relaxed with PBE, using copper Kα.
Peak positions follow from Bragg's law for the DFT cell and can differ from measured ones.

Main lines, in order of falling intensity (2θ from 5° to 70°):
2theta, I (rel.)
25.4, 100
26.9, 60
43.8, 21
11.9, 20
33.8, 18
26.6, 16
38.5, 16
39.4, 15
28.3, 15
55.6, 11
40.2, 11
52.1, 8

Crystal structure
abc: 10.463 10.463 10.603
angles: 90.00 90.00 90.00
Fractional positions:
1 Cs 0.165 0.335 0.250
2 Cs 0.165 0.335 0.750
3 Cs 0.335 0.835 0.250
4 Cs 0.335 0.835 0.750
5 Cs 0.665 0.165 0.250
6 Cs 0.665 0.165 0.750
7 Cs 0.835 0.665 0.250
8 Cs 0.835 0.665 0.750
9 In 0.000 0.000 0.000
10 In 0.500 0.500 0.500
11 I 0.000 0.000 0.294
12 I 0.000 0.000 0.706
13 I 0.102 0.700 0.000
14 I 0.200 0.602 0.500
15 I 0.300 0.102 0.000
16 I 0.398 0.200 0.500
17 I 0.500 0.500 0.206
18 I 0.500 0.500 0.794
19 I 0.602 0.800 0.500
20 I 0.700 0.898 0.000
21 I 0.800 0.398 0.500
22 I 0.898 0.300 0.000

***

[4]
The following is a simulated PXRD pattern of CsIn2I7. It was derived from a crystal structure in Alexandria, relaxed with PBE, using copper Kα.
Peak positions follow from Bragg's law for the DFT cell and can differ from measured ones.

Main lines, in order of falling intensity (2θ from 5° to 70°):
2theta, I (rel.)
24.5, 100
44.9, 54
34.9, 44
24.9, 40
35.1, 36
24.2, 32
38.0, 31
31.3, 30
18.7, 29
37.1, 27
31.8, 26
15.2, 22

Crystal structure
abc: 12.182 12.182 4.740
angles: 90.00 90.00 135.27
Fractional positions:
1 Cs 0.000 0.000 0.000
2 In 0.366 0.634 0.500
3 In 0.634 0.366 0.500
4 I 0.070 0.322 0.500
5 I 0.287 0.713 0.000
6 I 0.322 0.070 0.500
7 I 0.500 0.500 0.500
8 I 0.678 0.930 0.500
9 I 0.713 0.287 0.000
10 I 0.930 0.678 0.500

***

[5]
The following is a simulated PXRD pattern of Cs3In4I8. It was derived from a crystal structure in Alexandria, relaxed with PBE, using copper Kα.
Peak positions follow from Bragg's law for the DFT cell and can differ from measured ones.

Main lines, in order of falling intensity (2θ from 5° to 70°):
2theta, I (rel.)
24.1, 100
34.3, 48
55.7, 18
10.2, 13
43.1, 13
35.1, 12
33.6, 12
41.7, 11
49.4, 11
10.5, 8
62.5, 7
56.8, 6

Crystal structure
abc: 10.446 10.446 10.216
angles: 119.25 119.25 89.99
Fractional positions:
1 Cs 0.000 0.000 0.000
2 Cs 0.000 0.500 0.500
3 Cs 0.500 0.000 0.500
4 In 0.000 0.500 0.000
5 In 0.500 0.000 0.000
6 In 0.500 0.500 0.000
7 In 0.500 0.500 0.500
8 I 0.260 0.740 0.000
9 I 0.282 0.718 0.500
10 I 0.288 0.288 0.059
11 I 0.295 0.295 0.520
12 I 0.705 0.705 0.480
13 I 0.712 0.712 0.941
14 I 0.718 0.282 0.500
15 I 0.740 0.260 0.000

***

[6]
The following is a simulated PXRD pattern of CsIn5I7. It was derived from a crystal structure in Alexandria, relaxed with PBE, using copper Kα.
Peak positions follow from Bragg's law for the DFT cell and can differ from measured ones.

Main lines, in order of falling intensity (2θ from 5° to 70°):
2theta, I (rel.)
25.3, 100
36.2, 70
26.3, 63
24.2, 61
36.9, 33
27.0, 28
33.6, 27
24.8, 26
37.2, 22
44.0, 21
38.4, 19
45.7, 18

Crystal structure
abc: 8.341 8.341 29.082
angles: 90.04 90.04 34.58
Fractional positions:
1 Cs 0.000 0.000 0.000
2 Cs 0.610 0.610 0.500
3 In 0.085 0.085 0.678
4 In 0.086 0.086 0.322
5 In 0.260 0.260 0.105
6 In 0.261 0.261 0.895
7 In 0.349 0.349 0.605
8 In 0.350 0.350 0.395
9 In 0.525 0.525 0.178
10 In 0.526 0.526 0.823
11 In 0.806 0.806 0.250
12 In 0.806 0.806 0.750
13 I 0.169 0.169 0.211
14 I 0.169 0.169 0.789
15 I 0.299 0.299 0.500
16 I 0.311 0.311 0.000
17 I 0.442 0.442 0.289
18 I 0.442 0.442 0.711
19 I 0.625 0.625 0.080
20 I 0.626 0.626 0.920
21 I 0.713 0.713 0.639
22 I 0.714 0.714 0.361
23 I 0.897 0.897 0.139
24 I 0.897 0.897 0.861
25 I 0.984 0.984 0.581
26 I 0.985 0.985 0.420